[1]
Diffraction record for DyThAl2Zn2. The powder diffraction line list is theoretical, not measured: it uses DFT lattice parameters and positions (PBE) and Cu Kα.
Lines closer than 0.1° are merged.

Most intense lines, 10° ≤ 2θ ≤ 90°, by intensity:
two_theta, Rel. int.
33.37, 100
22.90, 44
40.22, 44
53.23, 27
68.77, 25
65.22, 19
54.77, 10
25.89, 9
81.58, 8
49.03, 8

Structural model:
```
data_DyThAl2Zn2
_chemical_formula_sum 'Dy1 Th1 Al2 Zn2'
_symmetry_space_group_name_H-M 'P -3 m 1'
_symmetry_Int_Tables_number 164
_symmetry_space_group_name_Hall '-P 3 2"'
_cell_length_a 4.4841
_cell_length_b 4.4841
_cell_length_c 7.4319
_cell_angle_alpha 90.00
_cell_angle_beta 90.00
_cell_angle_gamma 120.00
loop_
_atom_site_label
_atom_site_fract_x
_atom_site_fract_y
_atom_site_fract_z
Dy1 0.0000 0.0000 0.0000
Th1 0.0000 0.0000 0.5000
Al1 0.3333 0.6667 0.2358
Zn1 0.3333 0.6667 0.7714
```

***

[2]
Diffraction record for Dy7Al2Tl2. The powder diffraction line list is theoretical, not measured: it uses DFT lattice parameters and positions (PBE) and Cu Kα.
Lines closer than 0.1° are merged.

Most intense lines, 10° ≤ 2θ ≤ 90°, by intensity:
two_theta, Rel. int.
36.60, 100
32.62, 94
35.52, 64
25.81, 57
28.35, 53
29.33, 42
34.28, 38
16.15, 32
14.07, 29
26.77, 29

Structural model:
```
data_Dy7Al2Tl2
_chemical_formula_sum 'Dy14 Al4 Tl4'
_symmetry_space_group_name_H-M 'C m m m'
_symmetry_Int_Tables_number 65
_symmetry_space_group_name_Hall '-C 2 2'
_cell_length_a 7.6859
_cell_length_b 10.9763
_cell_length_c 7.8485
_cell_angle_alpha 90.00
_cell_angle_beta 90.00
_cell_angle_gamma 90.00
loop_
_atom_site_label
_atom_site_fract_x
_atom_site_fract_y
_atom_site_fract_z
Dy1 0.0000 0.0000 0.0000
Dy2 0.0000 0.5000 0.2806
Dy3 0.2500 0.2500 0.2953
Al1 0.1690 0.0000 0.5000
Tl1 0.0000 0.2972 0.0000
```

***

[3]
Diffraction record for Dy2Tm2Al3. The powder diffraction line list is theoretical, not measured: it uses DFT lattice parameters and positions (PBE) and Cu Kα.
Lines closer than 0.1° are merged.

Most intense lines, 10° ≤ 2θ ≤ 90°, by intensity:
two_theta, Rel. int.
35.01, 100
33.72, 26
26.23, 26
34.74, 24
21.84, 19
31.18, 16
28.14, 13
51.49, 12
62.42, 11
17.56, 11

Structural model:
```
data_Dy2Tm2Al3
_chemical_formula_sum 'Dy2 Tm2 Al3'
_symmetry_space_group_name_H-M 'P -1'
_symmetry_Int_Tables_number 2
_symmetry_space_group_name_Hall '-P 1'
_cell_length_a 3.5505
_cell_length_b 6.1624
_cell_length_c 8.1978
_cell_angle_alpha 83.43
_cell_angle_beta 89.99
_cell_angle_gamma 73.32
loop_
_atom_site_label
_atom_site_fract_x
_atom_site_fract_y
_atom_site_fract_z
Dy1 0.2000 0.1009 0.1608
Tm1 0.0610 0.3801 0.7045
Al1 0.3374 0.8246 0.5405
Al2 0.5000 0.5000 0.0000
```

***

[4]
Diffraction record for Dy2Tm3Al4. The powder diffraction line list is theoretical, not measured: it uses DFT lattice parameters and positions (PBE) and Cu Kα.
Lines closer than 0.1° are merged.

Most intense lines, 10° ≤ 2θ ≤ 90°, by intensity:
two_theta, Rel. int.
37.64, 100
25.29, 87
29.70, 79
30.47, 79
36.60, 45
64.66, 40
31.02, 39
51.88, 35
27.64, 34
42.20, 26

Structural model:
```
data_Dy2Tm3Al4
_chemical_formula_sum 'Dy8 Tm12 Al16'
_symmetry_space_group_name_H-M 'C m c e'
_symmetry_Int_Tables_number 64
_symmetry_space_group_name_Hall '-C 2ac 2'
_cell_length_a 6.1580
_cell_length_b 19.3633
_cell_length_c 7.5627
_cell_angle_alpha 90.00
_cell_angle_beta 90.00
_cell_angle_gamma 90.00
loop_
_atom_site_label
_atom_site_fract_x
_atom_site_fract_y
_atom_site_fract_z
Dy1 0.0000 0.0894 0.1037
Tm1 0.0000 0.0000 0.5000
Tm2 0.2500 0.2484 0.7500
Al1 0.0000 0.1513 0.4893
Al2 0.2500 0.0867 0.7500
```

***

[5]
Diffraction record for Dy8TmAl2. The powder diffraction line list is theoretical, not measured: it uses DFT lattice parameters and positions (PBE) and Cu Kα.
Lines closer than 0.1° are merged.

Most intense lines, 10° ≤ 2θ ≤ 90°, by intensity:
two_theta, Rel. int.
33.04, 100
30.08, 58
31.50, 57
33.30, 44
34.93, 41
24.67, 15
51.85, 15
55.78, 14
21.29, 14
45.82, 13

Structural model:
```
data_Dy8TmAl2
_chemical_formula_sum 'Dy16 Tm2 Al4'
_symmetry_space_group_name_H-M 'C 1 2/m 1'
_symmetry_Int_Tables_number 12
_symmetry_space_group_name_Hall '-C 2y'
_cell_length_a 8.7774
_cell_length_b 14.6303
_cell_length_c 5.5410
_cell_angle_alpha 90.00
_cell_angle_beta 113.14
_cell_angle_gamma 90.00
loop_
_atom_site_label
_atom_site_fract_x
_atom_site_fract_y
_atom_site_fract_z
Dy1 0.0000 0.2226 0.0000
Dy2 0.0980 0.5000 0.7962
Dy3 0.2067 0.1183 0.6117
Tm1 0.0000 0.0000 0.0000
Al1 0.0000 0.3079 0.5000
```

***

[6]
Diffraction record for DyTm5Al6. The powder diffraction line list is theoretical, not measured: it uses DFT lattice parameters and positions (PBE) and Cu Kα.
Lines closer than 0.1° are merged.

Most intense lines, 10° ≤ 2θ ≤ 90°, by intensity:
two_theta, Rel. int.
35.73, 100
24.97, 65
35.60, 50
64.02, 37
25.14, 32
44.08, 29
64.27, 18
51.23, 18
57.80, 13
57.89, 13

Structural model:
```
data_DyTm5Al6
_chemical_formula_sum 'Dy2 Tm10 Al12'
_symmetry_space_group_name_H-M 'C m m m'
_symmetry_Int_Tables_number 65
_symmetry_space_group_name_Hall '-C 2 2'
_cell_length_a 5.0413
_cell_length_b 15.1408
_cell_length_c 7.0833
_cell_angle_alpha 90.00
_cell_angle_beta 90.00
_cell_angle_gamma 90.00
loop_
_atom_site_label
_atom_site_fract_x
_atom_site_fract_y
_atom_site_fract_z
Dy1 0.0000 0.0000 0.0000
Tm1 0.0000 0.0000 0.5000
Tm2 0.0000 0.3329 0.0000
Tm3 0.0000 0.3342 0.5000
Al1 0.0000 0.1677 0.2521
Al2 0.0000 0.5000 0.2513
```

***

[7]
Diffraction record for Dy2Tm2Al3. The powder diffraction line list is theoretical, not measured: it uses DFT lattice parameters and positions (PBE) and Cu Kα.
Lines closer than 0.1° are merged.

Most intense lines, 10° ≤ 2θ ≤ 90°, by intensity:
two_theta, Rel. int.
36.20, 100
25.50, 70
25.26, 42
33.96, 40
42.79, 24
58.65, 23
51.91, 20
64.96, 19
62.23, 19
63.45, 13

Structural model:
```
data_Dy2Tm2Al3
_chemical_formula_sum 'Dy4 Tm4 Al6'
_symmetry_space_group_name_H-M 'C m m m'
_symmetry_Int_Tables_number 65
_symmetry_space_group_name_Hall '-C 2 2'
_cell_length_a 3.5197
_cell_length_b 27.9460
_cell_length_c 3.5257
_cell_angle_alpha 90.00
_cell_angle_beta 90.00
_cell_angle_gamma 90.00
loop_
_atom_site_label
_atom_site_fract_x
_atom_site_fract_y
_atom_site_fract_z
Dy1 0.0000 0.1932 0.0000
Tm1 0.0000 0.0637 0.0000
Al1 0.0000 0.3718 0.5000
Al2 0.0000 0.5000 0.5000
```

***

[8]
Diffraction record for Dy2Tm3Al2. The powder diffraction line list is theoretical, not measured: it uses DFT lattice parameters and positions (PBE) and Cu Kα.
Lines closer than 0.1° are merged.

Most intense lines, 10° ≤ 2θ ≤ 90°, by intensity:
two_theta, Rel. int.
34.32, 100
33.51, 92
27.53, 39
60.95, 33
48.72, 32
59.43, 24
61.46, 19
80.75, 13
24.95, 13
21.07, 12

Structural model:
```
data_Dy2Tm3Al2
_chemical_formula_sum 'Dy4 Tm6 Al4'
_symmetry_space_group_name_H-M 'C 1 2/m 1'
_symmetry_Int_Tables_number 12
_symmetry_space_group_name_Hall '-C 2y'
_cell_length_a 9.0482
_cell_length_b 5.2283
_cell_length_c 8.3040
_cell_angle_alpha 90.00
_cell_angle_beta 111.36
_cell_angle_gamma 90.00
loop_
_atom_site_label
_atom_site_fract_x
_atom_site_fract_y
_atom_site_fract_z
Dy1 0.0821 0.0000 0.2469
Tm1 0.0000 0.5000 0.5000
Tm2 0.1523 0.5000 0.9560
Al1 0.2181 0.0000 0.6549
```

***

[9]
Diffraction record for Dy6Y2Al. The powder diffraction line list is theoretical, not measured: it uses DFT lattice parameters and positions (PBE) and Cu Kα.
Lines closer than 0.1° are merged.

Most intense lines, 10° ≤ 2θ ≤ 90°, by intensity:
two_theta, Rel. int.
31.77, 100
32.47, 69
33.42, 61
31.16, 54
31.92, 38
46.88, 26
25.73, 25
51.44, 24
37.95, 23
33.00, 23

Structural model:
```
data_Dy6Y2Al
_chemical_formula_sum 'Dy12 Y4 Al2'
_symmetry_space_group_name_H-M 'P n n m'
_symmetry_Int_Tables_number 58
_symmetry_space_group_name_Hall '-P 2 2n'
_cell_length_a 9.9281
_cell_length_b 10.1925
_cell_length_c 5.3630
_cell_angle_alpha 90.00
_cell_angle_beta 90.00
_cell_angle_gamma 90.00
loop_
_atom_site_label
_atom_site_fract_x
_atom_site_fract_y
_atom_site_fract_z
Dy1 0.0280 0.1864 0.0000
Dy2 0.1297 0.6128 0.5000
Dy3 0.1848 0.9423 0.5000
Y1 0.2019 0.2697 0.5000
Al1 0.0000 0.5000 0.0000
```

***

[10]
Diffraction record for DyYAl3. The powder diffraction line list is theoretical, not measured: it uses DFT lattice parameters and positions (PBE) and Cu Kα.
Lines closer than 0.1° are merged.

Most intense lines, 10° ≤ 2θ ≤ 90°, by intensity:
two_theta, Rel. int.
33.44, 100
33.91, 66
23.48, 64
38.17, 44
53.24, 36
39.78, 29
32.12, 26
65.70, 20
48.70, 18
27.63, 17

Structural model:
```
data_DyYAl3
_chemical_formula_sum 'Dy4 Y4 Al12'
_symmetry_space_group_name_H-M 'C m c m'
_symmetry_Int_Tables_number 63
_symmetry_space_group_name_Hall '-C 2c 2'
_cell_length_a 3.5630
_cell_length_b 27.6075
_cell_length_c 4.5316
_cell_angle_alpha 90.00
_cell_angle_beta 90.00
_cell_angle_gamma 90.00
loop_
_atom_site_label
_atom_site_fract_x
_atom_site_fract_y
_atom_site_fract_z
Dy1 0.0000 0.2115 0.2500
Y1 0.0000 0.0716 0.7500
Al1 0.0000 0.3292 0.2500
Al2 0.0000 0.3810 0.7500
Al3 0.0000 0.4761 0.7500
```

***

[11]
Diffraction record for DyY5Al4. The powder diffraction line list is theoretical, not measured: it uses DFT lattice parameters and positions (PBE) and Cu Kα.
Lines closer than 0.1° are merged.

Most intense lines, 10° ≤ 2θ ≤ 90°, by intensity:
two_theta, Rel. int.
33.80, 100
35.46, 59
62.61, 32
30.86, 23
51.01, 20
28.38, 16
26.48, 14
25.28, 14
27.11, 13
45.20, 13

Structural model:
```
data_DyY5Al4
_chemical_formula_sum 'Dy1 Y5 Al4'
_symmetry_space_group_name_H-M 'P 4/m m m'
_symmetry_Int_Tables_number 123
_symmetry_space_group_name_Hall '-P 4 2'
_cell_length_a 3.5805
_cell_length_b 3.5805
_cell_length_c 19.7342
_cell_angle_alpha 90.00
_cell_angle_beta 90.00
_cell_angle_gamma 90.00
loop_
_atom_site_label
_atom_site_fract_x
_atom_site_fract_y
_atom_site_fract_z
Dy1 0.0000 0.0000 0.0000
Y1 0.5000 0.5000 0.1283
Y2 0.5000 0.5000 0.3146
Y3 0.5000 0.5000 0.5000
Al1 0.0000 0.0000 0.2209
Al2 0.0000 0.0000 0.4071
```

***

[12]
Diffraction record for DyY6Al. The powder diffraction line list is theoretical, not measured: it uses DFT lattice parameters and positions (PBE) and Cu Kα.
Lines closer than 0.1° are merged.

Most intense lines, 10° ≤ 2θ ≤ 90°, by intensity:
two_theta, Rel. int.
30.91, 100
34.68, 73
28.58, 30
33.12, 29
26.71, 28
52.45, 23
14.18, 20
37.65, 17
33.63, 17
59.82, 14

Structural model:
```
data_DyY6Al
_chemical_formula_sum 'Dy3 Y18 Al3'
_symmetry_space_group_name_H-M 'R -3'
_symmetry_Int_Tables_number 148
_symmetry_space_group_name_Hall '-R 3'
_cell_length_a 9.2310
_cell_length_b 9.2310
_cell_length_c 10.0128
_cell_angle_alpha 90.00
_cell_angle_beta 90.00
_cell_angle_gamma 120.00
loop_
_atom_site_label
_atom_site_fract_x
_atom_site_fract_y
_atom_site_fract_z
Dy1 0.0000 0.0000 0.0000
Y1 0.0238 0.7719 0.7143
Al1 0.0000 0.0000 0.5000
```